Structure and theoretical powder X-ray diffraction pattern of Cs3V2O2F7 (a structure optimized by DFT (PBE+U); Cu Kα).
No peak broadening, texture or thermal motion is included.

Most intense lines, 10 to 90 degrees two-theta, sorted by position:
3.792 Å, 23.46 deg, rel. 41
3.765 Å, 23.63 deg, rel. 85
3.219 Å, 27.72 deg, rel. 100
2.564 Å, 35.00 deg, rel. 14
2.459 Å, 36.54 deg, rel. 33
2.447 Å, 36.72 deg, rel. 32
2.440 Å, 36.83 deg, rel. 32
1.955 Å, 46.44 deg, rel. 10
1.944 Å, 46.72 deg, rel. 15
1.858 Å, 49.02 deg, rel. 20
1.609 Å, 57.25 deg, rel. 21
1.478 Å, 62.90 deg, rel. 11

Structural model:
```
Cs3V2O2F7
1.0
3.2213 -5.5706 0.0000
3.2213 5.5706 0.0000
-0.1627 0.0000 15.3816
Cs V O F
6 4 4 14
Direct
0.1629 0.8316 0.4369
0.1668 0.8332 0.7500
0.1684 0.8371 0.0631
0.8316 0.1629 0.9369
0.8332 0.1668 0.2500
0.8371 0.1684 0.5631
0.4758 0.4830 0.3485
0.4830 0.4758 0.8485
0.5170 0.5242 0.1515
0.5242 0.5170 0.6515
0.2217 0.3631 0.4031
0.3631 0.2217 0.9031
0.6369 0.7783 0.0969
0.7783 0.6369 0.5969
0.2046 0.3355 0.1000
0.2341 0.3754 0.7541
0.3355 0.2046 0.6000
0.3390 0.6377 0.5966
0.3623 0.6610 0.9034
0.3714 0.6286 0.2500
0.3754 0.2341 0.2541
0.6246 0.7659 0.7459
0.6286 0.3714 0.7500
0.6377 0.3390 0.0966
0.6610 0.3623 0.4034
0.6645 0.7954 0.4000
0.7659 0.6246 0.2459
0.7954 0.6645 0.9000
```